# 1
The following is a simulated powder diffraction line list of MgAl. It was derived from a DFT-relaxed cell (PBE, the Materials Project), using Cu Ka.
Neutral-atom scattering factors, no anomalous dispersion.

Main lines, most intense first (10 to 90 degrees two-theta):
| 2θ (°) | d (Å) | I_rel | hkl |
| --- | --- | --- | --- |
| 36.72 | 2.447 | 100 | 0 1 2 |
| 42.41 | 2.131 | 66 | 1 0 4 |
| 35.89 | 2.502 | 36 | 0 0 6 |
| 73.85 | 1.283 | 24 | 1 1 6 |
| 60.97 | 1.520 | 22 | 0 1 8 |
| 62.10 | 1.495 | 20 | 1 1 0 |
| 72.82 | 1.299 | 13 | 1 0 10 |
| 74.36 | 1.276 | 12 | 2 0 2 |
| 78.10 | 1.224 | 10 | 0 2 4 |
| 76.07 | 1.251 | 4 | 0 0 12 |

Structure:
```
data_MgAl
_chemical_formula_sum 'Mg3 Al3'
_space_group_name_H-M_alt 'R -3 m'
_space_group_IT_number 166
_space_group_name_Hall '-R 3 2"'
_cell_length_a 2.9894
_cell_length_b 2.9894
_cell_length_c 15.0141
_cell_angle_alpha 90.00
_cell_angle_beta 90.00
_cell_angle_gamma 120.00
loop_
_atom_site_label
_atom_site_type_symbol
_atom_site_fract_x
_atom_site_fract_y
_atom_site_fract_z
Mg1 Mg 0.0000 0.0000 0.0000
Al1 Al 0.0000 0.0000 0.5000
```

---

# 2
The following is a simulated powder diffraction line list of Zr6Zn23Si. It was derived from a DFT-relaxed cell (PBE, the Materials Project), using Cu Ka.
Neutral-atom scattering factors, no anomalous dispersion.

Main lines, most intense first (10 to 90 degrees two-theta):
| 2θ (°) | d (Å) | I_rel | hkl |
| --- | --- | --- | --- |
| 41.01 | 2.201 | 100 | 4 4 0 |
| 37.54 | 2.396 | 45 | 3 3 3 |
| 74.71 | 1.271 | 15 | 8 4 4 |
| 35.32 | 2.541 | 13 | 4 2 2 |
| 76.07 | 1.251 | 11 | 9 3 3 |
| 43.62 | 2.075 | 11 | 6 0 0 |
| 42.98 | 2.104 | 10 | 5 3 1 |
| 63.40 | 1.467 | 9 | 6 6 0 |
| 68.69 | 1.366 | 8 | 7 5 3 |
| 59.39 | 1.556 | 8 | 8 0 0 |

Structure:
```
data_Zr6Zn23Si
_chemical_formula_sum 'Zr24 Zn92 Si4'
_space_group_name_H-M_alt 'F m -3 m'
_space_group_IT_number 225
_space_group_name_Hall '-F 4 2 3'
_cell_length_a 12.449
_cell_length_b 12.449
_cell_length_c 12.449
_cell_angle_alpha 90.00
_cell_angle_beta 90.00
_cell_angle_gamma 90.00
loop_
_atom_site_label
_atom_site_type_symbol
_atom_site_fract_x
_atom_site_fract_y
_atom_site_fract_z
Zr1 Zr 0.000 0.000 0.210
Zn1 Zn 0.000 0.000 0.500
Zn2 Zn 0.000 0.250 0.250
Zn3 Zn 0.123 0.123 0.377
Zn4 Zn 0.164 0.164 0.164
Si1 Si 0.000 0.000 0.000
```

---

# 3
The following is a simulated powder diffraction line list of Lu2CuAu. It was derived from a DFT-relaxed cell (PBE, the Materials Project), using Cu Ka.
Neutral-atom scattering factors, no anomalous dispersion.

Main lines, most intense first (10 to 90 degrees two-theta):
| 2θ (°) | d (Å) | I_rel | hkl |
| --- | --- | --- | --- |
| 36.86 | 2.439 | 100 | 2 2 0 |
| 66.40 | 1.408 | 36 | 4 2 2 |
| 53.11 | 1.724 | 18 | 4 0 0 |
| 89.97 | 1.091 | 17 | 6 2 0 |
| 78.44 | 1.219 | 11 | 4 4 0 |
| 22.33 | 3.982 | 10 | 1 1 1 |
| 43.52 | 2.080 | 6 | 3 1 1 |
| 58.31 | 1.582 | 3 | 3 3 1 |
| 25.83 | 3.449 | 2 | 2 0 0 |
| 82.79 | 1.166 | 2 | 5 3 1 |

Structure:
```
data_Lu2CuAu
_chemical_formula_sum 'Lu8 Cu4 Au4'
_space_group_name_H-M_alt 'F m -3 m'
_space_group_IT_number 225
_space_group_name_Hall '-F 4 2 3'
_cell_length_a 6.897
_cell_length_b 6.897
_cell_length_c 6.897
_cell_angle_alpha 90.00
_cell_angle_beta 90.00
_cell_angle_gamma 90.00
loop_
_atom_site_label
_atom_site_type_symbol
_atom_site_fract_x
_atom_site_fract_y
_atom_site_fract_z
Lu1 Lu 0.250 0.250 0.250
Cu1 Cu 0.000 0.000 0.000
Au1 Au 0.000 0.000 0.500
```

---

Question: What is the formula in the second record?
Answer: Zr6Zn23Si